[1]
The following is a calculated PXRD pattern of CdCo. It was derived from DFT lattice parameters and positions (PBE), using Cu Kα.

Main lines, sorted by position (10 to 90 degrees two-theta):
2θ = 31.44°, d = 2.846 Å, I 15
2θ = 34.34°, d = 2.611 Å, I 24
2θ = 38.76°, d = 2.324 Å, I 45
2θ = 41.21°, d = 2.191 Å, I 100
2θ = 45.05°, d = 2.012 Å, I 28
2θ = 57.85°, d = 1.594 Å, I 9
2θ = 67.33°, d = 1.391 Å, I 12
2θ = 70.15°, d = 1.341 Å, I 39
2θ = 71.82°, d = 1.314 Å, I 9
2θ = 84.73°, d = 1.144 Å, I 16

Cell and atoms:
```
CdCo
1.0
0.000 5.691 5.691
5.691 0.000 5.691
5.691 5.691 0.000
Cd Co
12 12
Direct
0.070 0.070 0.680
0.070 0.680 0.070
0.070 0.680 0.680
0.320 0.320 0.930
0.320 0.930 0.320
0.320 0.930 0.930
0.680 0.070 0.070
0.680 0.070 0.680
0.680 0.680 0.070
0.930 0.320 0.320
0.930 0.320 0.930
0.930 0.930 0.320
0.000 0.500 0.500
0.299 0.299 0.299
0.299 0.299 0.604
0.299 0.604 0.299
0.396 0.701 0.701
0.500 0.000 0.500
0.500 0.500 0.000
0.500 0.500 0.500
0.604 0.299 0.299
0.701 0.396 0.701
0.701 0.701 0.396
0.701 0.701 0.701
```

---

[2]
The following is a calculated PXRD pattern of MgCoBIr. It was derived from DFT lattice parameters and positions (PBE), using Cu Kα.

Main lines, sorted by position (10 to 90 degrees two-theta):
2θ = 27.29°, d = 3.268 Å, I 52
2θ = 31.61°, d = 2.830 Å, I 79
2θ = 45.32°, d = 2.001 Å, I 100
2θ = 53.71°, d = 1.707 Å, I 26
2θ = 56.30°, d = 1.634 Å, I 21
2θ = 66.02°, d = 1.415 Å, I 16
2θ = 72.84°, d = 1.299 Å, I 11
2θ = 75.05°, d = 1.266 Å, I 27
2θ = 83.71°, d = 1.155 Å, I 33

Cell and atoms:
```
MgCoBIr
1.0
5.660 0.000 0.000
0.000 5.660 0.000
0.000 0.000 5.660
Mg Co B Ir
4 4 4 4
Direct
0.000 0.000 0.000
0.000 0.500 0.500
0.500 0.000 0.500
0.500 0.500 0.000
0.250 0.250 0.750
0.250 0.750 0.250
0.750 0.250 0.250
0.750 0.750 0.750
0.000 0.000 0.500
0.000 0.500 0.000
0.500 0.000 0.000
0.500 0.500 0.500
0.250 0.250 0.250
0.250 0.750 0.750
0.750 0.250 0.750
0.750 0.750 0.250
```

---

[3]
The following is a calculated PXRD pattern of Sm4CI3Br2. It was derived from DFT lattice parameters and positions (PBE), using Cu Kα.

Main lines, sorted by position (10 to 90 degrees two-theta):
2θ = 10.42°, d = 8.490 Å, I 44
2θ = 27.42°, d = 3.253 Å, I 16
2θ = 29.06°, d = 3.073 Å, I 44
2θ = 29.78°, d = 3.000 Å, I 18
2θ = 30.36°, d = 2.944 Å, I 100
2θ = 33.04°, d = 2.711 Å, I 41
2θ = 38.34°, d = 2.347 Å, I 18
2θ = 42.30°, d = 2.137 Å, I 27
2θ = 42.74°, d = 2.115 Å, I 25
2θ = 45.33°, d = 2.001 Å, I 19

Cell and atoms:
```
Sm4CI3Br2
1.0
9.442 -2.001 0.000
9.442 2.001 0.000
-1.877 0.000 8.490
Sm C I Br
4 1 3 2
Direct
0.001 0.001 0.306
0.365 0.365 0.431
0.635 0.635 0.569
0.999 0.999 0.694
0.500 0.500 0.500
0.171 0.171 0.317
0.500 0.500 0.000
0.829 0.829 0.683
0.158 0.158 0.823
0.842 0.842 0.177
```

---

[4]
The following is a calculated PXRD pattern of Li2BeFeH6. It was derived from DFT lattice parameters and positions (PBE), using Cu Kα.

Main lines, sorted by position (10 to 90 degrees two-theta):
2θ = 24.66°, d = 3.611 Å, I 100
2θ = 28.55°, d = 3.127 Å, I 65
2θ = 40.81°, d = 2.211 Å, I 73
2θ = 48.26°, d = 1.886 Å, I 46
2θ = 50.56°, d = 1.805 Å, I 11
2θ = 59.09°, d = 1.563 Å, I 14
2θ = 65.00°, d = 1.435 Å, I 17
2θ = 66.91°, d = 1.398 Å, I 17
2θ = 74.30°, d = 1.277 Å, I 23
2θ = 79.66°, d = 1.204 Å, I 12

Cell and atoms:
```
Li2BeFeH6
1.0
0.000 3.127 3.127
3.127 0.000 3.127
3.127 3.127 0.000
Li Be Fe H
2 1 1 6
Direct
0.250 0.250 0.250
0.750 0.750 0.750
0.000 0.000 0.000
0.500 0.500 0.500
0.248 0.248 0.752
0.248 0.752 0.248
0.248 0.752 0.752
0.752 0.248 0.248
0.752 0.248 0.752
0.752 0.752 0.248
```

---

[5]
The following is a calculated PXRD pattern of TmNbNO. It was derived from DFT lattice parameters and positions (PBE), using Cu Kα.

Main lines, sorted by position (10 to 90 degrees two-theta):
2θ = 22.38°, d = 3.973 Å, I 13
2θ = 25.48°, d = 3.496 Å, I 51
2θ = 32.20°, d = 2.780 Å, I 100
2θ = 32.82°, d = 2.728 Å, I 16
2θ = 33.85°, d = 2.648 Å, I 17
2θ = 34.76°, d = 2.581 Å, I 19
2θ = 38.08°, d = 2.363 Å, I 20
2θ = 46.67°, d = 1.946 Å, I 14
2θ = 48.13°, d = 1.891 Å, I 13
2θ = 57.41°, d = 1.605 Å, I 18

Cell and atoms:
```
TmNbNO
1.0
5.555 0.000 0.000
0.000 7.945 0.000
0.000 0.000 5.457
Tm Nb N O
4 4 4 4
Direct
0.020 0.130 0.000
0.480 0.130 0.500
0.520 0.870 0.000
0.980 0.870 0.500
0.118 0.471 0.626
0.382 0.471 0.126
0.618 0.529 0.626
0.882 0.529 0.126
0.114 0.342 0.312
0.386 0.342 0.812
0.614 0.658 0.312
0.886 0.658 0.812
0.248 0.982 0.745
0.252 0.982 0.245
0.748 0.018 0.745
0.752 0.018 0.245
```

---

[6]
The following is a calculated PXRD pattern of DyErGeCl2. It was derived from DFT lattice parameters and positions (PBE), using Cu Kα.

Main lines, sorted by position (10 to 90 degrees two-theta):
2θ = 27.03°, d = 3.299 Å, I 44
2θ = 31.56°, d = 2.835 Å, I 100
2θ = 38.04°, d = 2.366 Å, I 21
2θ = 44.67°, d = 2.028 Å, I 35
2θ = 45.77°, d = 1.982 Å, I 48
2θ = 55.72°, d = 1.650 Å, I 19
2θ = 65.90°, d = 1.417 Å, I 12
2θ = 74.08°, d = 1.280 Å, I 16
2θ = 75.72°, d = 1.256 Å, I 15
2θ = 83.13°, d = 1.162 Å, I 15

Cell and atoms:
```
DyErGeCl2
1.0
4.057 0.000 0.000
-2.028 3.513 0.000
0.000 0.000 9.598
Dy Er Ge Cl
1 1 1 2
Direct
0.000 0.000 0.000
0.333 0.667 0.665
0.667 0.333 0.831
0.000 0.000 0.503
0.333 0.667 0.163
```

---

[7]
The following is a calculated PXRD pattern of InHg3PbS4. It was derived from DFT lattice parameters and positions (PBE), using Cu Kα.

Main lines, sorted by position (10 to 90 degrees two-theta):
2θ = 13.79°, d = 6.424 Å, I 41
2θ = 23.99°, d = 3.709 Å, I 63
2θ = 27.78°, d = 3.212 Å, I 72
2θ = 31.13°, d = 2.873 Å, I 32
2θ = 39.69°, d = 2.271 Å, I 100
2θ = 46.91°, d = 1.937 Å, I 31
2θ = 49.13°, d = 1.854 Å, I 22
2θ = 57.38°, d = 1.606 Å, I 17
2θ = 64.92°, d = 1.436 Å, I 29
2θ = 72.02°, d = 1.311 Å, I 34

Cell and atoms:
```
InHg3PbS4
1.0
6.424 0.000 0.000
0.000 6.424 0.000
0.000 0.000 6.424
In Hg Pb S
1 3 1 4
Direct
0.000 0.000 0.000
0.000 0.500 0.500
0.500 0.000 0.500
0.500 0.500 0.000
0.500 0.500 0.500
0.231 0.231 0.231
0.231 0.769 0.769
0.769 0.231 0.769
0.769 0.769 0.231
```

---

[8]
The following is a calculated PXRD pattern of Ho2ErFe6CoNi2. It was derived from DFT lattice parameters and positions (PBE), using Cu Kα.

Main lines, sorted by position (10 to 90 degrees two-theta):
2θ = 20.96°, d = 4.238 Å, I 13
2θ = 32.89°, d = 2.723 Å, I 51
2θ = 35.88°, d = 2.503 Å, I 35
2θ = 36.16°, d = 2.484 Å, I 57
2θ = 42.17°, d = 2.143 Å, I 35
2θ = 42.54°, d = 2.125 Å, I 100
2θ = 62.97°, d = 1.476 Å, I 16
2θ = 64.85°, d = 1.438 Å, I 12
2θ = 69.42°, d = 1.354 Å, I 22
2θ = 76.73°, d = 1.242 Å, I 20

Cell and atoms:
```
Ho2ErFe6CoNi2
1.0
2.484 1.434 8.206
-2.484 1.434 8.206
0.000 -2.868 8.206
Ho Er Fe Co Ni
2 1 6 1 2
Direct
0.142 0.142 0.142
0.858 0.858 0.858
0.000 0.000 0.000
0.082 0.582 0.582
0.418 0.418 0.918
0.418 0.918 0.418
0.582 0.082 0.582
0.582 0.582 0.082
0.918 0.418 0.418
0.500 0.500 0.500
0.333 0.333 0.333
0.667 0.667 0.667
```

---

[9]
The following is a calculated PXRD pattern of Sm2ZrPt. It was derived from DFT lattice parameters and positions (PBE), using Cu Kα.

Main lines, sorted by position (10 to 90 degrees two-theta):
2θ = 14.09°, d = 6.287 Å, I 93
2θ = 26.02°, d = 3.424 Å, I 73
2θ = 36.06°, d = 2.491 Å, I 100
2θ = 38.18°, d = 2.357 Å, I 94
2θ = 40.89°, d = 2.207 Å, I 41
2θ = 48.85°, d = 1.865 Å, I 18
2θ = 53.52°, d = 1.712 Å, I 32
2θ = 63.41°, d = 1.467 Å, I 17
2θ = 67.63°, d = 1.385 Å, I 32
2θ = 69.01°, d = 1.361 Å, I 17

Cell and atoms:
```
Sm2ZrPt
1.0
4.714 0.000 0.000
-2.357 4.083 0.000
0.000 0.000 6.287
Sm Zr Pt
2 1 1
Direct
0.000 0.000 0.000
0.333 0.667 0.381
0.000 0.000 0.506
0.667 0.333 0.273
```

---

[10]
The following is a calculated PXRD pattern of TbDy2In3Co3. It was derived from DFT lattice parameters and positions (PBE), using Cu Kα.

Main lines, sorted by position (10 to 90 degrees two-theta):
2θ = 33.73°, d = 2.657 Å, I 100
2θ = 36.64°, d = 2.452 Å, I 69
2θ = 37.35°, d = 2.408 Å, I 51
2θ = 42.58°, d = 2.123 Å, I 22
2θ = 47.30°, d = 1.922 Å, I 20
2θ = 51.74°, d = 1.767 Å, I 13
2θ = 57.40°, d = 1.605 Å, I 23
2θ = 61.77°, d = 1.502 Å, I 23
2θ = 68.72°, d = 1.366 Å, I 23
2θ = 79.19°, d = 1.210 Å, I 15

Cell and atoms:
```
TbDy2In3Co3
1.0
3.843 0.000 0.000
0.000 6.368 3.679
0.000 -6.368 3.679
Tb Dy In Co
1 2 3 3
Direct
0.000 0.000 0.000
0.000 0.409 0.818
0.000 0.818 0.409
0.500 0.156 0.410
0.500 0.410 0.156
0.500 0.662 0.662
0.000 0.410 0.410
0.500 0.076 0.742
0.500 0.742 0.076
```

---

[11]
The following is a calculated PXRD pattern of LiAg3Te4Mo. It was derived from DFT lattice parameters and positions (PBE), using Cu Kα.

Main lines, sorted by position (10 to 90 degrees two-theta):
2θ = 13.62°, d = 6.503 Å, I 44
2θ = 23.70°, d = 3.755 Å, I 88
2θ = 30.74°, d = 2.908 Å, I 14
2θ = 39.18°, d = 2.299 Å, I 100
2θ = 46.30°, d = 1.961 Å, I 42
2θ = 56.61°, d = 1.626 Å, I 16
2θ = 62.23°, d = 1.492 Å, I 17
2θ = 71.01°, d = 1.327 Å, I 32
2θ = 76.05°, d = 1.252 Å, I 12
2θ = 89.07°, d = 1.099 Å, I 12

Cell and atoms:
```
LiAg3Te4Mo
1.0
6.503 0.000 0.000
0.000 6.503 0.000
0.000 0.000 6.503
Li Ag Te Mo
1 3 4 1
Direct
0.000 0.000 0.000
0.000 0.500 0.500
0.500 0.000 0.500
0.500 0.500 0.000
0.260 0.260 0.260
0.260 0.740 0.740
0.740 0.260 0.740
0.740 0.740 0.260
0.500 0.500 0.500
```

---

[12]
The following is a calculated PXRD pattern of YTm6Ni2Te2. It was derived from DFT lattice parameters and positions (PBE), using Cu Kα.

Main lines, sorted by position (10 to 90 degrees two-theta):
2θ = 25.09°, d = 3.550 Å, I 26
2θ = 29.06°, d = 3.073 Å, I 18
2θ = 30.56°, d = 2.925 Å, I 43
2θ = 33.25°, d = 2.695 Å, I 83
2θ = 34.30°, d = 2.614 Å, I 100
2θ = 34.80°, d = 2.578 Å, I 83
2θ = 36.87°, d = 2.438 Å, I 19
2θ = 38.73°, d = 2.325 Å, I 21
2θ = 47.50°, d = 1.914 Å, I 30
2θ = 59.21°, d = 1.560 Å, I 32

Cell and atoms:
```
YTm6Ni2Te2
1.0
-1.914 7.728 4.742
1.914 -7.728 4.742
1.914 7.728 -4.742
Y Tm Ni Te
1 6 2 2
Direct
0.000 0.000 0.000
0.285 0.418 0.867
0.306 0.621 0.685
0.551 0.418 0.133
0.622 0.269 0.352
0.917 0.269 0.648
0.935 0.621 0.315
0.166 0.928 0.238
0.690 0.928 0.762
0.266 0.766 0.500
0.663 0.663 0.000
```